(1)
Diffraction record for LaMg7. The XRD peak list is theoretical, not measured: it uses a structure optimized by DFT (GGA-PBE) and λ = 1.5418 Å (Cu Kα).
No peak broadening, texture or thermal motion is included.

Principal peaks in the range 2θ from 10° to 90°, by angle:
(1 0 0), 15.14°, d = 5.851 Å, I 57
(1 0 1), 22.83°, d = 3.894 Å, I 50
(2 0 0), 30.56°, d = 2.925 Å, I 32
(1 1 1), 31.55°, d = 2.836 Å, I 21
(0 0 2), 34.37°, d = 2.609 Å, I 23
(2 0 1), 35.17°, d = 2.552 Å, I 100
(2 0 2), 46.63°, d = 1.948 Å, I 23
(2 2 0), 54.34°, d = 1.688 Å, I 28
(2 0 3), 62.08°, d = 1.495 Å, I 18
(2 2 2), 65.88°, d = 1.418 Å, I 19

Structural model:
Lattice parameters (Å, degrees): 6.7559 6.7559 5.2184 90.00 90.00 120.00
Space group P-6m2 (No. 187)
Unique sites:
La 0.0000 0.0000 0.0000 (multiplicity 1)
Mg 0.0085 0.5043 0.0000 (multiplicity 3)
Mg 0.1723 0.3445 0.5000 (multiplicity 3)
Mg 0.6667 0.3333 0.5000 (multiplicity 1)

(2)
Diffraction record for La2Mg. The XRD peak list is theoretical, not measured: it uses a structure optimized by DFT (GGA-PBE) and λ = 1.5418 Å (Cu Kα).
No peak broadening, texture or thermal motion is included.

Principal peaks in the range 2θ from 10° to 90°, by angle:
(1 1 0), 17.20°, d = 5.156 Å, I 31
(2 0 0), 19.42°, d = 4.571 Å, I 26
(3 1 -1), 28.70°, d = 3.111 Å, I 23
(0 0 2), 31.15°, d = 2.871 Å, I 38
(3 1 0), 32.67°, d = 2.741 Å, I 100
(3 1 -2), 32.78°, d = 2.732 Å, I 50
(0 2 2), 42.80°, d = 2.113 Å, I 16
(3 3 -1), 50.70°, d = 1.800 Å, I 19
(3 1 2), 56.38°, d = 1.632 Å, I 21
(3 3 1), 60.72°, d = 1.525 Å, I 22

Structural model:
Lattice parameters (Å, degrees): 10.763 6.245 6.761 90.00 121.86 90.00
Space group C2/c (No. 15)
Unique sites:
La 0.168 0.083 0.252 (multiplicity 8)
Mg 0.000 0.418 0.750 (multiplicity 4)

(3)
Diffraction record for La2Mg. The XRD peak list is theoretical, not measured: it uses a structure optimized by DFT (GGA-PBE) and λ = 1.5418 Å (Cu Kα).
No peak broadening, texture or thermal motion is included.

Principal peaks in the range 2θ from 10° to 90°, by angle:
(1 1 0), 16.35°, d = 5.423 Å, I 16
(1 1 1), 22.69°, d = 3.919 Å, I 51
(3 1 0), 28.38°, d = 3.144 Å, I 23
(0 0 2), 31.56°, d = 2.835 Å, I 38
(3 1 1), 32.56°, d = 2.750 Å, I 100
(0 2 1), 32.75°, d = 2.735 Å, I 63
(3 1 2), 42.96°, d = 2.105 Å, I 15
(3 3 0), 50.49°, d = 1.808 Å, I 19
(3 1 3), 56.84°, d = 1.620 Å, I 20
(3 3 2), 60.77°, d = 1.524 Å, I 22

Structural model:
Lattice parameters (Å, degrees): 10.917 6.248 5.669 90.00 90.00 90.00
Space group Cmcm (No. 63)
Unique sites:
La 0.153 0.169 0.250 (multiplicity 8)
Mg 0.000 0.341 0.750 (multiplicity 4)

(4)
Diffraction record for LaMg2. The XRD peak list is theoretical, not measured: it uses a structure optimized by DFT (GGA-PBE) and λ = 1.5418 Å (Cu Kα).
No peak broadening, texture or thermal motion is included.

Principal peaks in the range 2θ from 10° to 90°, by angle:
(1 0 0), 16.30°, d = 5.438 Å, I 36
(1 0 1), 18.63°, d = 4.763 Å, I 46
(1 1 0), 28.43°, d = 3.140 Å, I 74
(1 0 3), 31.78°, d = 2.816 Å, I 100
(1 1 2), 33.83°, d = 2.649 Å, I 47
(2 0 1), 34.21°, d = 2.621 Å, I 41
(2 0 3), 43.15°, d = 2.096 Å, I 18
(2 1 3), 52.49°, d = 1.743 Å, I 47
(2 2 0), 58.83°, d = 1.570 Å, I 18
(3 1 3), 68.42°, d = 1.371 Å, I 21

Structural model:
Lattice parameters (Å, degrees): 6.2791 6.2791 9.8753 90.00 90.00 120.00
Space group P6_3/mmc (No. 194)
Unique sites:
La 0.3333 0.6667 0.0812 (multiplicity 4)
Mg 0.0000 0.0000 0.0000 (multiplicity 2)
Mg 0.1696 0.3391 0.7500 (multiplicity 6)

(5)
Diffraction record for La2Mg. The XRD peak list is theoretical, not measured: it uses a structure optimized by DFT (GGA-PBE) and λ = 1.5418 Å (Cu Kα).
No peak broadening, texture or thermal motion is included.

Principal peaks in the range 2θ from 10° to 90°, by angle:
(0 2 1), 18.15°, d = 4.887 Å, I 33
(0 4 0), 19.14°, d = 4.637 Å, I 16
(1 3 0), 28.42°, d = 3.140 Å, I 21
(0 0 2), 31.11°, d = 2.875 Å, I 36
(1 3 1), 32.49°, d = 2.756 Å, I 100
(0 6 1), 32.89°, d = 2.723 Å, I 45
(1 9 0), 50.90°, d = 1.794 Å, I 18
(1 3 3), 56.23°, d = 1.636 Å, I 21
(1 9 2), 60.86°, d = 1.522 Å, I 21
(2 6 1), 61.19°, d = 1.515 Å, I 15

Structural model:
Lattice parameters (Å, degrees): 3.645 18.548 5.750 90.00 90.00 90.00
Space group Cmcm (No. 63)
Unique sites:
La 0.000 0.056 0.250 (multiplicity 4)
La 0.000 0.275 0.750 (multiplicity 4)
Mg 0.000 0.389 0.250 (multiplicity 4)

(6)
Diffraction record for LaMg2. The XRD peak list is theoretical, not measured: it uses a structure optimized by DFT (GGA-PBE) and λ = 1.5418 Å (Cu Kα).
No peak broadening, texture or thermal motion is included.

Principal peaks in the range 2θ from 10° to 90°, by angle:
(2 0 0), 13.63°, d = 6.499 Å, I 100
(0 0 2), 23.78°, d = 3.742 Å, I 25
(2 0 -2), 24.45°, d = 3.640 Å, I 29
(4 0 0), 27.48°, d = 3.246 Å, I 75
(2 0 2), 30.27°, d = 2.953 Å, I 23
(4 0 -2), 31.88°, d = 2.807 Å, I 44
(3 1 0), 33.82°, d = 2.650 Å, I 68
(1 1 -2), 35.53°, d = 2.527 Å, I 53
(0 0 3), 36.00°, d = 2.495 Å, I 21
(5 1 -2), 46.22°, d = 1.964 Å, I 24

Structural model:
Lattice parameters (Å, degrees): 13.385 3.350 7.707 90.00 103.80 90.00
Space group C2/m (No. 12)
Unique sites:
La 0.017 0.000 0.296 (multiplicity 4)
Mg 0.156 0.500 0.033 (multiplicity 4)
Mg 0.203 0.500 0.643 (multiplicity 4)

(7)
Diffraction record for LaMg2. The XRD peak list is theoretical, not measured: it uses a structure optimized by DFT (GGA-PBE) and λ = 1.5418 Å (Cu Kα).
No peak broadening, texture or thermal motion is included.

Principal peaks in the range 2θ from 10° to 90°, by angle:
(1 1 0), 18.15°, d = 4.887 Å, I 100
(2 0 0), 19.64°, d = 4.520 Å, I 57
(1 1 -1), 20.68°, d = 4.296 Å, I 27
(2 0 -2), 27.96°, d = 3.191 Å, I 24
(3 1 -1), 30.16°, d = 2.963 Å, I 29
(0 0 2), 31.72°, d = 2.821 Å, I 50
(1 1 -2), 32.19°, d = 2.781 Å, I 25
(3 1 0), 33.50°, d = 2.675 Å, I 65
(0 2 1), 34.74°, d = 2.582 Å, I 60
(3 1 -2), 34.84°, d = 2.575 Å, I 58

Structural model:
Lattice parameters (Å, degrees): 10.351 5.809 6.460 90.00 119.15 90.00
Space group C2/c (No. 15)
Unique sites:
La 0.000 0.085 0.250 (multiplicity 4)
Mg 0.166 0.418 0.748 (multiplicity 8)

(8)
Diffraction record for LaMg2. The XRD peak list is theoretical, not measured: it uses a structure optimized by DFT (GGA-PBE) and λ = 1.5418 Å (Cu Kα).
No peak broadening, texture or thermal motion is included.

Principal peaks in the range 2θ from 10° to 90°, by angle:
(1 1 1), 17.49°, d = 5.071 Å, I 56
(2 2 0), 28.75°, d = 3.105 Å, I 96
(3 1 1), 33.85°, d = 2.648 Å, I 100
(3 3 1), 44.99°, d = 2.015 Å, I 15
(4 2 2), 50.94°, d = 1.793 Å, I 39
(5 1 1), 54.27°, d = 1.690 Å, I 34
(4 4 0), 59.55°, d = 1.553 Å, I 23
(6 2 0), 67.44°, d = 1.389 Å, I 17
(6 4 2), 82.13°, d = 1.174 Å, I 19
(7 3 1), 84.79°, d = 1.143 Å, I 21

Structural model:
Lattice parameters (Å, degrees): 8.782 8.782 8.782 90.00 90.00 90.00
Space group Fd-3m (No. 227, origin choice 2)
Unique sites:
La 0.125 0.125 0.125 (multiplicity 8)
Mg 0.000 0.000 0.500 (multiplicity 16)

(9)
Diffraction record for La2Mg17. The XRD peak list is theoretical, not measured: it uses a structure optimized by DFT (GGA-PBE) and λ = 1.5418 Å (Cu Kα).
No peak broadening, texture or thermal motion is included.

Principal peaks in the range 2θ from 10° to 90°, by angle:
(1 0 1), 13.16°, d = 6.730 Å, I 28
(1 1 0), 17.12°, d = 5.180 Å, I 38
(1 1 2), 24.52°, d = 3.630 Å, I 76
(3 0 0), 29.88°, d = 2.991 Å, I 50
(2 0 3), 33.11°, d = 2.706 Å, I 31
(2 2 0), 34.64°, d = 2.590 Å, I 55
(3 0 2), 34.80°, d = 2.578 Å, I 100
(0 0 4), 35.28°, d = 2.544 Å, I 26
(4 1 2), 49.91°, d = 1.827 Å, I 26
(2 2 4), 50.27°, d = 1.815 Å, I 22

Structural model:
Lattice parameters (Å, degrees): 10.3595 10.3595 10.1759 90.00 90.00 120.00
Space group P6_3/mmc (No. 194)
Unique sites:
La 0.0000 0.0000 0.2500 (multiplicity 2)
La 0.3333 0.6667 0.2500 (multiplicity 2)
Mg 0.0000 0.5000 0.0000 (multiplicity 6)
Mg 0.0356 0.3641 0.7500 (multiplicity 12)
Mg 0.1623 0.3247 0.0213 (multiplicity 12)
Mg 0.3333 0.6667 0.6009 (multiplicity 4)

(10)
Diffraction record for LaMg2. The XRD peak list is theoretical, not measured: it uses a structure optimized by DFT (GGA-PBE) and λ = 1.5418 Å (Cu Kα).
No peak broadening, texture or thermal motion is included.

Principal peaks in the range 2θ from 10° to 90°, by angle:
(0 2 1), 18.54°, d = 4.785 Å, I 98
(0 4 0), 19.81°, d = 4.481 Å, I 39
(1 1 0), 26.74°, d = 3.334 Å, I 26
(1 3 0), 30.29°, d = 2.951 Å, I 21
(1 1 1), 31.13°, d = 2.873 Å, I 24
(0 0 2), 31.62°, d = 2.830 Å, I 41
(0 6 1), 33.93°, d = 2.642 Å, I 48
(1 3 1), 34.27°, d = 2.616 Å, I 100
(1 3 3), 58.03°, d = 1.589 Å, I 22
(1 9 2), 63.35°, d = 1.468 Å, I 22

Structural model:
Lattice parameters (Å, degrees): 3.393 17.922 5.660 90.00 90.00 90.00
Space group Cmcm (No. 63)
Unique sites:
La 0.000 0.110 0.250 (multiplicity 4)
Mg 0.000 0.220 0.750 (multiplicity 4)
Mg 0.000 0.443 0.250 (multiplicity 4)

(11)
Diffraction record for LaMg2. The XRD peak list is theoretical, not measured: it uses a structure optimized by DFT (GGA-PBE) and λ = 1.5418 Å (Cu Kα).
No peak broadening, texture or thermal motion is included.

Principal peaks in the range 2θ from 10° to 90°, by angle:
(1 1 0), 17.04°, d = 5.204 Å, I 17
(2 0 0), 17.55°, d = 5.053 Å, I 51
(1 1 1), 23.46°, d = 3.793 Å, I 91
(3 1 0), 30.34°, d = 2.946 Å, I 17
(0 0 2), 32.32°, d = 2.769 Å, I 34
(0 2 1), 33.67°, d = 2.662 Å, I 40
(3 1 1), 34.48°, d = 2.601 Å, I 100
(2 0 2), 37.02°, d = 2.429 Å, I 16
(3 1 3), 59.05°, d = 1.564 Å, I 19
(3 3 2), 63.25°, d = 1.470 Å, I 18

Structural model:
Lattice parameters (Å, degrees): 10.106 6.071 5.539 90.00 90.00 90.00
Space group Cmcm (No. 63)
Unique sites:
La 0.000 0.181 0.250 (multiplicity 4)
Mg 0.168 0.343 0.750 (multiplicity 8)

(12)
Diffraction record for La2Mg. The XRD peak list is theoretical, not measured: it uses a structure optimized by DFT (GGA-PBE) and λ = 1.5418 Å (Cu Kα).
No peak broadening, texture or thermal motion is included.

Principal peaks in the range 2θ from 10° to 90°, by angle:
(0 0 3), 15.03°, d = 5.894 Å, I 19
(1 1 0), 28.72°, d = 3.108 Å, I 31
(0 0 6), 30.32°, d = 2.947 Å, I 28
(1 1 3), 32.57°, d = 2.749 Å, I 100
(1 1 6), 42.26°, d = 2.139 Å, I 24
(3 0 0), 50.88°, d = 1.795 Å, I 18
(1 1 9), 55.32°, d = 1.661 Å, I 22
(3 0 6), 60.39°, d = 1.533 Å, I 21
(2 2 3), 61.73°, d = 1.503 Å, I 15
(4 1 3), 84.00°, d = 1.152 Å, I 13

Structural model:
Lattice parameters (Å, degrees): 6.2166 6.2166 17.6813 90.00 90.00 120.00
Space group R32 (No. 155, hexagonal axes)
Unique sites:
La 0.0000 0.0000 0.0000 (multiplicity 3)
La 0.0000 0.6780 0.5000 (multiplicity 9)
Mg 0.0000 0.0000 0.3326 (multiplicity 6)